The following is a computed PXRD pattern of Co2Sn2Hg. It was derived from a GGA-PBE-relaxed structure, using a wavelength of 1.5418 Å.
Intensities are scaled so that the largest is 100.

Peak list (6 most intense, 2θ = 10–90°, sorted by position)
- hkl 0 0 1, 2.919 Å, 30.63°, rel. 24
- hkl 2 2 0, 2.753 Å, 32.52°, rel. 22
- hkl 3 1 0, 2.462 Å, 36.49°, rel. 100
- hkl 2 1 1, 2.237 Å, 40.32°, rel. 73
- hkl 3 1 1, 1.882 Å, 48.36°, rel. 40
- hkl 3 1 2, 1.255 Å, 75.77°, rel. 24

Cell and atoms:
```
data_Co2Sn2Hg
_cell_length_a 7.7866
_cell_length_b 7.7866
_cell_length_c 2.9186
_cell_angle_alpha 90.00
_cell_angle_beta 90.00
_cell_angle_gamma 90.00
_symmetry_space_group_name_H-M 'P 4/m b m'
_symmetry_Int_Tables_number 127
_symmetry_space_group_name_Hall '-P 4 2ab'
loop_
_atom_site_label
_atom_site_type_symbol
_atom_site_fract_x
_atom_site_fract_y
_atom_site_fract_z
Co1 Co 0.1373 0.3627 0.0000
Sn1 Sn 0.1527 0.6527 0.5000
Hg1 Hg 0.0000 0.0000 0.5000
```

=====

The following is a computed PXRD pattern of TaCd3. It was derived from a GGA-PBE-relaxed structure, using a wavelength of 1.5418 Å.
Intensities are scaled so that the largest is 100.

Peak list (6 most intense, 2θ = 10–90°, sorted by position)
- hkl 0 0 12, 2.612 Å, 34.33°, rel. 39
- hkl 1 0 4, 2.483 Å, 36.18°, rel. 100
- hkl 0 1 8, 2.177 Å, 41.49°, rel. 67
- hkl 1 0 16, 1.568 Å, 58.88°, rel. 22
- hkl 1 1 0, 1.511 Å, 61.34°, rel. 21
- hkl 1 1 12, 1.308 Å, 72.22°, rel. 25

Cell and atoms:
```
data_TaCd3
_cell_length_a 3.0228
_cell_length_b 3.0228
_cell_length_c 31.3437
_cell_angle_alpha 90.00
_cell_angle_beta 90.00
_cell_angle_gamma 120.00
_symmetry_space_group_name_H-M 'R -3 m'
_symmetry_Int_Tables_number 166
_symmetry_space_group_name_Hall '-R 3 2"'
loop_
_atom_site_label
_atom_site_type_symbol
_atom_site_fract_x
_atom_site_fract_y
_atom_site_fract_z
Ta1 Ta 0.0000 0.0000 0.0000
Cd1 Cd 0.0000 0.0000 0.2536
Cd2 Cd 0.0000 0.0000 0.5000
```

=====

The following is a computed PXRD pattern of Rb3Dy2HfTe6. It was derived from a GGA-PBE-relaxed structure, using a wavelength of 1.5418 Å.
Intensities are scaled so that the largest is 100.

Peak list (6 most intense, 2θ = 10–90°, sorted by position)
- hkl 0 0 1, 8.586 Å, 10.30°, rel. 34
- hkl 1 3 1, 3.283 Å, 27.16°, rel. 100
- hkl 2 0 2, 2.461 Å, 36.52°, rel. 34
- hkl 0 6 0, 2.203 Å, 40.97°, rel. 36
- hkl 4 0 0, 1.829 Å, 49.85°, rel. 18
- hkl 5 3 -3, 1.407 Å, 66.43°, rel. 16

Cell and atoms:
```
data_Rb3Dy2HfTe6
_cell_length_a 7.6311
_cell_length_b 13.2189
_cell_length_c 8.9559
_cell_angle_alpha 90.00
_cell_angle_beta 106.53
_cell_angle_gamma 90.00
_symmetry_space_group_name_H-M 'C 1 2/m 1'
_symmetry_Int_Tables_number 12
loop_
_symmetry_equiv_pos_as_xyz
'x,y,z'
'-x,-y,-z'
'-x,y,-z'
'x,-y,z'
'x+1/2,y+1/2,z'
'-x+1/2,-y+1/2,-z'
'-x+1/2,y+1/2,-z'
'x+1/2,-y+1/2,z'
loop_
_atom_site_label
_atom_site_type_symbol
_atom_site_fract_x
_atom_site_fract_y
_atom_site_fract_z
Rb1 Rb 0.0000 0.0000 0.0000
Rb2 Rb 0.0000 0.3282 0.0000
Dy1 Dy 0.0000 0.1659 0.5000
Hf1 Hf 0.0000 0.5000 0.5000
Te1 Te 0.2247 0.3407 0.6968
Te2 Te 0.2485 0.0000 0.6987
```

=====

The following is a computed PXRD pattern of La6InRh. It was derived from a GGA-PBE-relaxed structure, using a wavelength of 1.5418 Å.
Intensities are scaled so that the largest is 100.

Peak list (6 most intense, 2θ = 10–90°, sorted by position)
- hkl 0 3 1, 3.008 Å, 29.70°, rel. 24
- hkl 1 2 2, 2.900 Å, 30.83°, rel. 100
- hkl 1 1 3, 2.788 Å, 32.10°, rel. 56
- hkl 0 0 4, 2.674 Å, 33.51°, rel. 15
- hkl 1 3 1, 2.589 Å, 34.65°, rel. 16
- hkl 2 0 0, 2.542 Å, 35.31°, rel. 34

Cell and atoms:
```
data_La6InRh
_cell_length_a 5.0834
_cell_length_b 9.4046
_cell_length_c 10.6977
_cell_angle_alpha 90.00
_cell_angle_beta 90.00
_cell_angle_gamma 90.00
_symmetry_space_group_name_H-M 'A m m 2'
_symmetry_Int_Tables_number 38
loop_
_symmetry_equiv_pos_as_xyz
'x,y,z'
'-x,-y,z'
'-x,y,z'
'x,-y,z'
'x,y+1/2,z+1/2'
'-x,-y+1/2,z+1/2'
'-x,y+1/2,z+1/2'
'x,-y+1/2,z+1/2'
loop_
_atom_site_label
_atom_site_type_symbol
_atom_site_fract_x
_atom_site_fract_y
_atom_site_fract_z
La1 La 0.0000 0.0000 0.0000
La2 La 0.0000 0.1748 0.3014
La3 La 0.5000 0.0000 0.8086
La4 La 0.5000 0.2243 0.5472
In1 In 0.0000 0.0000 0.6062
Rh1 Rh 0.5000 0.0000 0.1589
```

=====

The following is a computed PXRD pattern of NaEr5S6. It was derived from a GGA-PBE-relaxed structure, using a wavelength of 1.5418 Å.
Intensities are scaled so that the largest is 100.

Peak list (6 most intense, 2θ = 10–90°, sorted by position)
- hkl 2 0 0, 3.171 Å, 28.14°, rel. 37
- hkl 1 3 -1, 3.164 Å, 28.21°, rel. 37
- hkl 2 0 -2, 2.743 Å, 32.64°, rel. 100
- hkl 2 0 2, 1.942 Å, 46.77°, rel. 36
- hkl 3 3 -1, 1.937 Å, 46.90°, rel. 36
- hkl 4 0 -2, 1.653 Å, 55.59°, rel. 27

Cell and atoms:
```
data_NaEr5S6
_cell_length_a 6.7149
_cell_length_b 11.6153
_cell_length_c 6.7353
_cell_angle_alpha 90.00
_cell_angle_beta 109.42
_cell_angle_gamma 90.00
_symmetry_space_group_name_H-M 'C 1 2/m 1'
_symmetry_Int_Tables_number 12
loop_
_symmetry_equiv_pos_as_xyz
'x,y,z'
'-x,-y,-z'
'-x,y,-z'
'x,-y,z'
'x+1/2,y+1/2,z'
'-x+1/2,-y+1/2,-z'
'-x+1/2,y+1/2,-z'
'x+1/2,-y+1/2,z'
loop_
_atom_site_label
_atom_site_type_symbol
_atom_site_fract_x
_atom_site_fract_y
_atom_site_fract_z
Na1 Na 0.0000 0.0000 0.0000
Er1 Er 0.0000 0.1628 0.5000
Er2 Er 0.0000 0.3345 0.0000
Er3 Er 0.0000 0.5000 0.5000
S1 S 0.2482 0.3320 0.7469
S2 S 0.2487 0.5000 0.2471
```

=====

The following is a computed PXRD pattern of CaFeAg2. It was derived from a GGA-PBE-relaxed structure, using a wavelength of 1.5418 Å.
Intensities are scaled so that the largest is 100.

Peak list (6 most intense, 2θ = 10–90°, sorted by position)
- hkl 1 0 1, 3.780 Å, 23.54°, rel. 22
- hkl 1 1 2, 2.460 Å, 36.53°, rel. 100
- hkl 0 0 4, 2.225 Å, 40.54°, rel. 18
- hkl 0 2 0, 2.090 Å, 43.30°, rel. 15
- hkl 2 0 0, 2.085 Å, 43.40°, rel. 15
- hkl 2 0 4, 1.522 Å, 60.85°, rel. 21

Cell and atoms:
```
data_CaFeAg2
_cell_length_a 4.1698
_cell_length_b 4.1792
_cell_length_c 8.9014
_cell_angle_alpha 90.00
_cell_angle_beta 90.00
_cell_angle_gamma 90.00
_symmetry_space_group_name_H-M 'I m m 2'
_symmetry_Int_Tables_number 44
loop_
_symmetry_equiv_pos_as_xyz
'x,y,z'
'-x,-y,z'
'-x,y,z'
'x,-y,z'
'x+1/2,y+1/2,z+1/2'
'-x+1/2,-y+1/2,z+1/2'
'-x+1/2,y+1/2,z+1/2'
'x+1/2,-y+1/2,z+1/2'
loop_
_atom_site_label
_atom_site_type_symbol
_atom_site_fract_x
_atom_site_fract_y
_atom_site_fract_z
Ca1 Ca 0.0000 0.0000 0.0000
Fe1 Fe 0.0000 0.5000 0.2499
Ag1 Ag 0.0000 0.0000 0.5007
Ag2 Ag 0.0000 0.5000 0.7503
```

=====

The following is a computed PXRD pattern of PmDyGa4. It was derived from a GGA-PBE-relaxed structure, using a wavelength of 1.5418 Å.
Intensities are scaled so that the largest is 100.

Peak list (6 most intense, 2θ = 10–90°, sorted by position)
- hkl 1 1 2, 2.751 Å, 32.54°, rel. 64
- hkl 0 2 2, 2.694 Å, 33.26°, rel. 36
- hkl 1 2 1, 2.593 Å, 34.60°, rel. 100
- hkl 1 0 3, 2.329 Å, 38.66°, rel. 40
- hkl 2 0 0, 2.146 Å, 42.11°, rel. 32
- hkl 1 3 4, 1.466 Å, 63.47°, rel. 27

Cell and atoms:
```
data_PmDyGa4
_cell_length_a 4.2918
_cell_length_b 7.0704
_cell_length_c 8.3184
_cell_angle_alpha 90.00
_cell_angle_beta 90.00
_cell_angle_gamma 90.00
_symmetry_space_group_name_H-M 'I m m 2'
_symmetry_Int_Tables_number 44
loop_
_symmetry_equiv_pos_as_xyz
'x,y,z'
'-x,-y,z'
'-x,y,z'
'x,-y,z'
'x+1/2,y+1/2,z+1/2'
'-x+1/2,-y+1/2,z+1/2'
'-x+1/2,y+1/2,z+1/2'
'x+1/2,-y+1/2,z+1/2'
loop_
_atom_site_label
_atom_site_type_symbol
_atom_site_fract_x
_atom_site_fract_y
_atom_site_fract_z
Pm1 Pm 0.0000 0.0000 0.0000
Dy1 Dy 0.0000 0.5000 0.8789
Ga1 Ga 0.0000 0.1931 0.6032
Ga2 Ga 0.0000 0.3012 0.2789
```

=====

The following is a computed PXRD pattern of CsNaPuCl6. It was derived from a GGA-PBE-relaxed structure, using a wavelength of 1.5418 Å.
Intensities are scaled so that the largest is 100.

Peak list (6 most intense, 2θ = 10–90°, sorted by position)
- hkl 1 0 1, 5.776 Å, 15.34°, rel. 79
- hkl 1 0 2, 4.829 Å, 18.37°, rel. 100
- hkl 1 1 0, 3.603 Å, 24.71°, rel. 27
- hkl 1 1 4, 2.618 Å, 34.25°, rel. 68
- hkl 2 1 2, 2.253 Å, 40.01°, rel. 27
- hkl 3 0 0, 2.079 Å, 43.52°, rel. 31

Cell and atoms:
```
data_CsNaPuCl6
_cell_length_a 7.2067
_cell_length_b 7.2067
_cell_length_c 15.2438
_cell_angle_alpha 90.00
_cell_angle_beta 90.00
_cell_angle_gamma 120.00
_symmetry_space_group_name_H-M 'P -3 1 c'
_symmetry_Int_Tables_number 163
_symmetry_space_group_name_Hall '-P 3 2c'
loop_
_atom_site_label
_atom_site_type_symbol
_atom_site_fract_x
_atom_site_fract_y
_atom_site_fract_z
Cs1 Cs 0.0000 0.0000 0.0000
Na1 Na 0.3333 0.6667 0.2500
Pu1 Pu 0.3333 0.6667 0.7500
Cl1 Cl 0.0264 0.3831 0.6514
```

=====

The following is a computed PXRD pattern of Er6Mg23. It was derived from a GGA-PBE-relaxed structure, using a wavelength of 1.5418 Å.
Intensities are scaled so that the largest is 100.

Peak list (6 most intense, 2θ = 10–90°, sorted by position)
- hkl 1 1 1, 8.189 Å, 10.80°, rel. 42
- hkl 2 2 2, 4.095 Å, 21.70°, rel. 37
- hkl 3 3 1, 3.254 Å, 27.41°, rel. 42
- hkl 4 2 2, 2.895 Å, 30.88°, rel. 38
- hkl 3 3 3, 2.730 Å, 32.81°, rel. 100
- hkl 6 6 0, 1.672 Å, 54.93°, rel. 34

Cell and atoms:
```
data_Er6Mg23
_cell_length_a 14.1842
_cell_length_b 14.1842
_cell_length_c 14.1842
_cell_angle_alpha 90.00
_cell_angle_beta 90.00
_cell_angle_gamma 90.00
_symmetry_space_group_name_H-M 'F m -3 m'
_symmetry_Int_Tables_number 225
_symmetry_space_group_name_Hall '-F 4 2 3'
loop_
_atom_site_label
_atom_site_type_symbol
_atom_site_fract_x
_atom_site_fract_y
_atom_site_fract_z
Er1 Er 0.0000 0.0000 0.1897
Mg1 Mg 0.0000 0.0000 0.5000
Mg2 Mg 0.0000 0.2500 0.2500
Mg3 Mg 0.1198 0.1198 0.3802
Mg4 Mg 0.1682 0.1682 0.1682
```

=====

The following is a computed PXRD pattern of Nd6Os2O. It was derived from a GGA-PBE-relaxed structure, using a wavelength of 1.5418 Å.
Intensities are scaled so that the largest is 100.

Peak list (6 most intense, 2θ = 10–90°, sorted by position)
- hkl 0 2 2, 2.936 Å, 30.45°, rel. 75
- hkl 2 1 -1, 2.899 Å, 30.84°, rel. 55
- hkl 1 0 -4, 2.866 Å, 31.21°, rel. 100
- hkl 2 0 -4, 2.698 Å, 33.21°, rel. 81
- hkl 1 1 -4, 2.671 Å, 33.55°, rel. 87
- hkl 0 2 3, 2.426 Å, 37.06°, rel. 57

Cell and atoms:
```
data_Nd6Os2O
_cell_length_a 6.6192
_cell_length_b 7.4065
_cell_length_c 11.5703
_cell_angle_alpha 90.00
_cell_angle_beta 123.65
_cell_angle_gamma 90.00
_symmetry_space_group_name_H-M 'P 1 21/c 1'
_symmetry_Int_Tables_number 14
loop_
_symmetry_equiv_pos_as_xyz
'x,y,z'
'-x,-y,-z'
'-x,y+1/2,-z+1/2'
'x,-y+1/2,z+1/2'
loop_
_atom_site_label
_atom_site_type_symbol
_atom_site_fract_x
_atom_site_fract_y
_atom_site_fract_z
Nd1 Nd 0.1190 0.0455 0.2448
Nd2 Nd 0.2359 0.6825 0.0654
Nd3 Nd 0.3767 0.1673 0.0615
Os1 Os 0.2925 0.1031 0.7540
O1 O 0.0000 0.0000 0.0000
```

=====

The following is a computed PXRD pattern of K3Ir. It was derived from a GGA-PBE-relaxed structure, using a wavelength of 1.5418 Å.
Intensities are scaled so that the largest is 100.

Peak list (6 most intense, 2θ = 10–90°, sorted by position)
- hkl 1 0 1, 5.109 Å, 17.36°, rel. 60
- hkl 0 2 0, 5.003 Å, 17.73°, rel. 69
- hkl 1 1 1, 4.550 Å, 19.51°, rel. 90
- hkl 2 1 0, 4.244 Å, 20.93°, rel. 63
- hkl 1 3 1, 2.793 Å, 32.05°, rel. 84
- hkl 3 0 1, 2.781 Å, 32.18°, rel. 100

Cell and atoms:
```
data_K3Ir
_cell_length_a 9.3731
_cell_length_b 10.0053
_cell_length_c 6.0945
_cell_angle_alpha 90.00
_cell_angle_beta 90.00
_cell_angle_gamma 90.00
_symmetry_space_group_name_H-M 'P n m a'
_symmetry_Int_Tables_number 62
loop_
_symmetry_equiv_pos_as_xyz
'x,y,z'
'-x,-y,-z'
'-x+1/2,-y,z+1/2'
'x+1/2,y,-z+1/2'
'x+1/2,-y+1/2,-z+1/2'
'-x+1/2,y+1/2,z+1/2'
'-x,y+1/2,-z'
'x,-y+1/2,z'
loop_
_atom_site_label
_atom_site_type_symbol
_atom_site_fract_x
_atom_site_fract_y
_atom_site_fract_z
K1 K 0.0195 0.2500 0.0640
K2 K 0.1660 0.0701 0.5840
Ir1 Ir 0.1373 0.7500 0.4462
```